Structure and theoretical powder diffractogram of Th2PaSi3Ir4 (a crystal structure in Alexandria, relaxed with PBE; copper Kα).
Kinematic intensities with the Lorentz-polarization factor, no thermal factor.

The 8 most intense peaks (10° ≤ 2θ ≤ 80°), in order of falling intensity:
(1 1 2), 34.43°, rel. 100
(2 0 0), 43.20°, rel. 42
(1 0 2), 26.80°, rel. 26
(1 0 3), 32.54°, rel. 24
(3 1 2), 73.57°, rel. 23
(1 0 5), 46.81°, rel. 17
(1 0 4), 39.32°, rel. 14
(2 2 0), 62.75°, rel. 14

```
data_Th2PaSi3Ir4
_chemical_formula_sum 'Th2 Pa1 Si3 Ir4'
_cell_length_a 4.1883
_cell_length_b 4.1883
_cell_length_c 10.9506
_cell_angle_alpha 90.00
_cell_angle_beta 90.00
_cell_angle_gamma 90.00
_space_group_name_H-M_alt 'P -4 m 2'
_space_group_IT_number 115
loop_
_space_group_symop_operation_xyz
'x,y,z'
'y,-x,-z'
'-x,-y,z'
'-y,x,-z'
'-x,y,z'
'-y,-x,-z'
'x,-y,z'
'y,x,-z'
loop_
_atom_site_label
_atom_site_type_symbol
_atom_site_fract_x
_atom_site_fract_y
_atom_site_fract_z
Th1 Th 0.0000 0.5000 0.2290
Pa1 Pa 0.0000 0.0000 0.5000
Si1 Si 0.0000 0.5000 0.8800
Si2 Si 0.5000 0.5000 0.5000
Ir1 Ir 0.0000 0.0000 0.0000
Ir2 Ir 0.0000 0.5000 0.6587
Ir3 Ir 0.5000 0.5000 0.0000
```


Structure and theoretical powder diffractogram of Ca2CrAg (a crystal structure in Alexandria, relaxed with PBE; copper Kα).
Kinematic intensities with the Lorentz-polarization factor, no thermal factor.

The 8 most intense peaks (10° ≤ 2θ ≤ 80°), in order of falling intensity:
(0 0 3), 15.01°, rel. 100
(1 1 0), 37.63°, rel. 94
(0 1 5), 33.29°, rel. 82
(1 0 4), 29.54°, rel. 57
(1 1 3), 40.73°, rel. 48
(0 1 2), 23.73°, rel. 33
(1 1 9), 60.99°, rel. 32
(2 0 5), 51.11°, rel. 22

```
data_Ca2CrAg
_chemical_formula_sum 'Ca6 Cr3 Ag3'
_cell_length_a 4.7801
_cell_length_b 4.7801
_cell_length_c 17.7092
_cell_angle_alpha 90.00
_cell_angle_beta 90.00
_cell_angle_gamma 120.00
_space_group_name_H-M_alt 'R 3 m'
_space_group_IT_number 160
_space_group_name_Hall 'R 3 -2"'
loop_
_atom_site_label
_atom_site_type_symbol
_atom_site_fract_x
_atom_site_fract_y
_atom_site_fract_z
Ca1 Ca 0.0000 0.0000 0.0000
Ca2 Ca 0.0000 0.0000 0.1964
Cr1 Cr 0.0000 0.0000 0.4271
Ag1 Ag 0.0000 0.0000 0.7714
```


Structure and theoretical powder diffractogram of Sr2Al5Ga3 (a crystal structure in Alexandria, relaxed with PBE; copper Kα).
Kinematic intensities with the Lorentz-polarization factor, no thermal factor.

The 8 most intense peaks (10° ≤ 2θ ≤ 80°), in order of falling intensity:
(1 1 2), 32.76°, rel. 100
(1 0 3), 31.41°, rel. 81
(2 0 0), 40.67°, rel. 62
(1 0 5), 45.56°, rel. 39
(2 1 3), 52.28°, rel. 37
(2 1 5), 62.70°, rel. 30
(1 1 0), 28.45°, rel. 29
(3 1 2), 69.04°, rel. 22

```
data_Sr2Al5Ga3
_chemical_formula_sum 'Sr2 Al5 Ga3'
_cell_length_a 4.4363
_cell_length_b 4.4363
_cell_length_c 11.1410
_cell_angle_alpha 90.00
_cell_angle_beta 90.00
_cell_angle_gamma 90.00
_space_group_name_H-M_alt 'P -4 m 2'
_space_group_IT_number 115
loop_
_space_group_symop_operation_xyz
'x,y,z'
'y,-x,-z'
'-x,-y,z'
'-y,x,-z'
'-x,y,z'
'-y,-x,-z'
'x,-y,z'
'y,x,-z'
loop_
_atom_site_label
_atom_site_type_symbol
_atom_site_fract_x
_atom_site_fract_y
_atom_site_fract_z
Sr1 Sr 0.0000 0.5000 0.2474
Al1 Al 0.0000 0.0000 0.5000
Al2 Al 0.0000 0.5000 0.6355
Al3 Al 0.5000 0.5000 0.0000
Al4 Al 0.5000 0.5000 0.5000
Ga1 Ga 0.0000 0.0000 0.0000
Ga2 Ga 0.0000 0.5000 0.8677
```


Structure and theoretical powder diffractogram of Y2Co17 (a crystal structure in Alexandria, relaxed with PBE; copper Kα).
Kinematic intensities with the Lorentz-polarization factor, no thermal factor.

The 8 most intense peaks (10° ≤ 2θ ≤ 80°), in order of falling intensity:
(3 0 3), 43.94°, rel. 100
(2 2 0), 43.59°, rel. 69
(2 2 3), 49.37°, rel. 54
(0 0 6), 44.98°, rel. 36
(3 0 0), 37.51°, rel. 35
(0 2 4), 38.92°, rel. 33
(2 0 5), 45.18°, rel. 19
(1 1 3), 30.91°, rel. 18

```
data_Y2Co17
_chemical_formula_sum 'Y6 Co51'
_cell_length_a 8.3060
_cell_length_b 8.3060
_cell_length_c 12.0932
_cell_angle_alpha 90.00
_cell_angle_beta 90.00
_cell_angle_gamma 120.00
_space_group_name_H-M_alt 'R -3 m'
_space_group_IT_number 166
_space_group_name_Hall '-R 3 2"'
loop_
_atom_site_label
_atom_site_type_symbol
_atom_site_fract_x
_atom_site_fract_y
_atom_site_fract_z
Y1 Y 0.0000 0.0000 0.1557
Co1 Co 0.0000 0.0000 0.4035
Co2 Co 0.0000 0.2882 0.5000
Co3 Co 0.0000 0.5000 0.0000
Co4 Co 0.0028 0.5014 0.3469
```


Structure and theoretical powder diffractogram of Pr5Dy4Mg2 (a crystal structure in Alexandria, relaxed with PBE; copper Kα).
Kinematic intensities with the Lorentz-polarization factor, no thermal factor.

The 8 most intense peaks (10° ≤ 2θ ≤ 80°), in order of falling intensity:
(1 4 1), 31.21°, rel. 100
(0 4 1), 29.61°, rel. 71
(2 2 1), 32.49°, rel. 61
(3 2 0), 30.52°, rel. 52
(2 6 0), 31.78°, rel. 40
(1 7 0), 30.76°, rel. 39
(2 3 1), 33.84°, rel. 29
(1 10 1), 50.32°, rel. 22

```
data_Pr5Dy4Mg2
_chemical_formula_sum 'Pr10 Dy8 Mg4'
_cell_length_a 9.1350
_cell_length_b 21.4602
_cell_length_c 3.6499
_cell_angle_alpha 90.00
_cell_angle_beta 90.00
_cell_angle_gamma 90.00
_space_group_name_H-M_alt 'P b a m'
_space_group_IT_number 55
loop_
_space_group_symop_operation_xyz
'x,y,z'
'-x,-y,-z'
'-x,-y,z'
'x,y,-z'
'x+1/2,-y+1/2,-z'
'-x+1/2,y+1/2,z'
'-x+1/2,y+1/2,-z'
'x+1/2,-y+1/2,z'
loop_
_atom_site_label
_atom_site_type_symbol
_atom_site_fract_x
_atom_site_fract_y
_atom_site_fract_z
Pr1 Pr 0.0000 0.0000 0.0000
Pr2 Pr 0.1289 0.4356 0.0000
Pr3 Pr 0.2476 0.2178 0.0000
Dy1 Dy 0.0696 0.8512 0.5000
Dy2 Dy 0.2172 0.5769 0.5000
Mg1 Mg 0.0434 0.3103 0.5000
```


Structure and theoretical powder diffractogram of KEu3 (a crystal structure in Alexandria, relaxed with PBE; copper Kα).
Kinematic intensities with the Lorentz-polarization factor, no thermal factor.

The 8 most intense peaks (10° ≤ 2θ ≤ 80°), in order of falling intensity:
(1 1 2), 26.32°, rel. 100
(2 0 0), 30.98°, rel. 33
(3 1 2), 52.34°, rel. 30
(2 0 4), 43.27°, rel. 26
(0 0 4), 29.44°, rel. 19
(1 1 6), 50.35°, rel. 17
(2 2 4), 54.16°, rel. 13
(1 0 1), 17.01°, rel. 13

```
data_KEu3
_chemical_formula_sum 'K2 Eu6'
_cell_length_a 5.7724
_cell_length_b 5.7724
_cell_length_c 12.1345
_cell_angle_alpha 90.00
_cell_angle_beta 90.00
_cell_angle_gamma 90.00
_space_group_name_H-M_alt 'I 4/m m m'
_space_group_IT_number 139
_space_group_name_Hall '-I 4 2'
loop_
_atom_site_label
_atom_site_type_symbol
_atom_site_fract_x
_atom_site_fract_y
_atom_site_fract_z
K1 K 0.0000 0.0000 0.0000
Eu1 Eu 0.0000 0.0000 0.5000
Eu2 Eu 0.0000 0.5000 0.2500
```


Structure and theoretical powder diffractogram of Tb5CdIn4 (a crystal structure in Alexandria, relaxed with PBE; copper Kα).
Kinematic intensities with the Lorentz-polarization factor, no thermal factor.

The 8 most intense peaks (10° ≤ 2θ ≤ 80°), in order of falling intensity:
(1 1 0), 33.62°, rel. 100
(2 1 5), 60.15°, rel. 24
(1 1 10), 60.03°, rel. 12
(2 0 0), 48.34°, rel. 12
(2 0 10), 70.62°, rel. 8
(0 0 10), 48.15°, rel. 6
(2 2 0), 70.77°, rel. 4
(1 0 0), 23.60°, rel. 3

```
data_Tb5CdIn4
_chemical_formula_sum 'Tb5 Cd1 In4'
_cell_length_a 3.7657
_cell_length_b 3.7657
_cell_length_c 18.8974
_cell_angle_alpha 90.00
_cell_angle_beta 90.00
_cell_angle_gamma 90.00
_space_group_name_H-M_alt 'P 4/m m m'
_space_group_IT_number 123
_space_group_name_Hall '-P 4 2'
loop_
_atom_site_label
_atom_site_type_symbol
_atom_site_fract_x
_atom_site_fract_y
_atom_site_fract_z
Tb1 Tb 0.0000 0.0000 0.0000
Tb2 Tb 0.0000 0.0000 0.2009
Tb3 Tb 0.0000 0.0000 0.4018
Cd1 Cd 0.5000 0.5000 0.5000
In1 In 0.5000 0.5000 0.1003
In2 In 0.5000 0.5000 0.3026
```